This entry pairs a crystal structure of Rb2ZrAg2Te2Se2 with its theoretical X-ray diffraction stick pattern. Radiation: Cu Kα, 1.54184 Å. Structure: a DFT-relaxed cell (GGA-PBE, OQMD).

Top 12 peaks for 2θ from 5° to 70°, sorted by position:
2θ/deg	I (rel.)
12.26	51
15.07	22
26.84	98
27.12	100
27.75	21
30.30	23
30.41	44
37.44	38
39.65	93
47.16	34
48.44	39
48.66	21

Atomic structure:
```
data_Rb2ZrAg2Te2Se2
_chemical_formula_sum 'Rb2 Zr1 Ag2 Te2 Se2'
_cell_length_a 7.905
_cell_length_b 7.905
_cell_length_c 6.423
_cell_angle_alpha 90.76
_cell_angle_beta 90.76
_cell_angle_gamma 48.06
_space_group_name_H-M_alt 'P 1'
_space_group_IT_number 1
loop_
_space_group_symop_operation_xyz
'x,y,z'
loop_
_atom_site_label
_atom_site_fract_x
_atom_site_fract_y
_atom_site_fract_z
_atom_site_occupancy
Rb1 0.250 0.250 0.240 1
Rb2 0.750 0.750 0.760 1
Zr1 0.754 0.246 0.500 1
Ag1 0.249 0.751 0.500 1
Ag2 0.759 0.241 0.000 1
Te1 0.391 0.380 0.742 1
Te2 0.620 0.609 0.258 1
Se1 0.084 0.126 0.731 1
Se2 0.874 0.916 0.269 1
```

---

This entry pairs a crystal structure of NdGdCd2Au4 with its theoretical X-ray diffraction stick pattern. Radiation: Cu Kα, 1.54184 Å. Structure: a DFT-relaxed cell (GGA-PBE, OQMD).

Top 7 peaks for 2θ from 5° to 70°, sorted by position:
2θ/deg	I (rel.)
21.81	1
25.24	5
35.99	100
44.47	2
51.82	18
58.48	2
64.71	36

Atomic structure:
```
data_NdGdCd2Au4
_chemical_formula_sum 'Nd1 Gd1 Cd2 Au4'
_cell_length_a 4.992
_cell_length_b 4.992
_cell_length_c 7.054
_cell_angle_alpha 90.00
_cell_angle_beta 90.00
_cell_angle_gamma 90.00
_space_group_name_H-M_alt 'P 1'
_space_group_IT_number 1
loop_
_space_group_symop_operation_xyz
'x,y,z'
loop_
_atom_site_label
_atom_site_fract_x
_atom_site_fract_y
_atom_site_fract_z
_atom_site_occupancy
Nd1 0.000 0.000 0.000 1
Gd1 0.500 0.500 0.500 1
Cd1 0.000 0.000 0.500 1
Cd2 0.500 0.500 0.000 1
Au1 0.000 0.500 0.258 1
Au2 0.000 0.500 0.742 1
Au3 0.500 0.000 0.258 1
Au4 0.500 0.000 0.742 1
```

---

This entry pairs a crystal structure of PuMg2 with its theoretical X-ray diffraction stick pattern. Radiation: Cu Kα, 1.54184 Å. Structure: a DFT-relaxed cell (GGA-PBE, OQMD).

Top 12 peaks for 2θ from 5° to 70°, sorted by position:
2θ/deg	I (rel.)
18.96	100
19.81	44
30.38	19
32.64	26
33.58	16
34.17	41
34.59	21
37.48	49
38.47	17
39.29	13
49.78	16
65.87	14

Atomic structure:
```
data_PuMg2
_chemical_formula_sum 'Pu4 Mg8'
_cell_length_a 2.982
_cell_length_b 5.487
_cell_length_c 17.929
_cell_angle_alpha 90.00
_cell_angle_beta 90.00
_cell_angle_gamma 90.00
_space_group_name_H-M_alt 'P 1'
_space_group_IT_number 1
loop_
_space_group_symop_operation_xyz
'x,y,z'
loop_
_atom_site_label
_atom_site_fract_x
_atom_site_fract_y
_atom_site_fract_z
_atom_site_occupancy
Pu1 0.250 0.250 0.134 1
Pu2 0.250 0.750 0.365 1
Pu3 0.750 0.250 0.635 1
Pu4 0.750 0.750 0.866 1
Mg1 0.250 0.250 0.465 1
Mg2 0.250 0.250 0.801 1
Mg3 0.250 0.750 0.035 1
Mg4 0.250 0.750 0.700 1
Mg5 0.750 0.250 0.300 1
Mg6 0.750 0.250 0.965 1
Mg7 0.750 0.750 0.199 1
Mg8 0.750 0.750 0.535 1
```

---

This entry pairs a crystal structure of Ho2Sb5 with its theoretical X-ray diffraction stick pattern. Radiation: Cu Kα, 1.54184 Å. Structure: a DFT-relaxed cell (GGA-PBE, OQMD).

Top 12 peaks for 2θ from 5° to 70°, sorted by position:
2θ/deg	I (rel.)
27.22	29
28.99	34
29.74	36
29.79	33
30.09	87
33.31	26
34.61	27
34.72	61
35.10	100
36.16	90
36.73	26
43.04	66

Atomic structure:
```
data_Ho2Sb5
_chemical_formula_sum 'Ho8 Sb20'
_cell_length_a 13.168
_cell_length_b 4.203
_cell_length_c 14.625
_cell_angle_alpha 90.00
_cell_angle_beta 101.96
_cell_angle_gamma 90.00
_space_group_name_H-M_alt 'P 1'
_space_group_IT_number 1
loop_
_space_group_symop_operation_xyz
'x,y,z'
loop_
_atom_site_label
_atom_site_fract_x
_atom_site_fract_y
_atom_site_fract_z
_atom_site_occupancy
Ho1 0.046 0.250 0.362 1
Ho2 0.332 0.250 0.578 1
Ho3 0.339 0.250 0.855 1
Ho4 0.392 0.750 0.230 1
Ho5 0.608 0.250 0.770 1
Ho6 0.661 0.750 0.145 1
Ho7 0.668 0.750 0.422 1
Ho8 0.954 0.750 0.638 1
Sb1 0.029 0.250 0.088 1
Sb2 0.139 0.250 0.678 1
Sb3 0.141 0.750 0.221 1
Sb4 0.144 0.750 0.518 1
Sb5 0.152 0.750 0.829 1
Sb6 0.277 0.250 0.063 1
Sb7 0.283 0.250 0.346 1
Sb8 0.420 0.750 0.025 1
Sb9 0.426 0.750 0.449 1
Sb10 0.426 0.750 0.734 1
Sb11 0.574 0.250 0.266 1
Sb12 0.574 0.250 0.551 1
Sb13 0.580 0.250 0.975 1
Sb14 0.717 0.750 0.654 1
Sb15 0.723 0.750 0.937 1
Sb16 0.848 0.250 0.171 1
Sb17 0.856 0.250 0.482 1
Sb18 0.859 0.250 0.779 1
Sb19 0.861 0.750 0.322 1
Sb20 0.971 0.750 0.912 1
```